Computed X-ray diffraction stick pattern
Compound: PmNd2Dy5Ho
Radiation: λ = 1.5418 Å (Cu Kα)
Structure: the GGA-PBE geometry in Alexandria
Kinematic intensities with the Lorentz-polarization factor, no thermal factor.

Structural model:
Cell lengths 9.9409, 9.9409, 9.9409 Å; angles 128.07, 128.07, 76.52 degrees
Sites, in units of the cell vectors:
Pm: 0.2500 0.2500 0.0000
Pm: 0.7500 0.7500 0.0000
Nd: 0.1174 0.6174 0.7348
Nd: 0.3826 0.1174 0.5000
Nd: 0.6174 0.8826 0.5000
Nd: 0.8826 0.3826 0.2652
Dy: 0.0000 0.0000 0.0000
Dy: 0.0722 0.1503 0.5000
Dy: 0.1503 0.6503 0.0781
Dy: 0.3497 0.4278 0.5000
Dy: 0.4278 0.9278 0.0781
Dy: 0.5000 0.5000 0.0000
Dy: 0.5722 0.0722 0.9219
Dy: 0.6503 0.5722 0.5000
Dy: 0.8497 0.3497 0.9219
Dy: 0.9278 0.8497 0.5000
Ho: 0.2500 0.7500 0.5000
Ho: 0.7500 0.2500 0.5000

Largest 6 diffraction maxima, in order of rising 2θ, 10 to 80 degrees two-theta:
2θ (°)  I_rel
28.64  45
29.01  52
30.77  100
37.70  15
43.20  19
52.53  23